[1]
Structure and computed powder diffractogram of Th6Si2SnSe3 (the PBE geometry in Alexandria; Cu Kα (λ = 1.5418 Å)).

Most intense lines, 2θ = 10–90°, most intense first:
Position (°2θ)	I/Imax
29.4	100
25.3	26
41.7	25
42.5	25
52.0	14
41.9	13
25.2	12
25.8	12
61.0	12
42.3	12

```
Th6Si2SnSe3
1.0
9.2989 -2.1585 0.0000
9.2989 2.1585 0.0000
-1.7523 0.0000 8.3745
Th Si Sn Se
6 2 1 3
Direct
0.0063 0.0063 0.2642 Th
0.3282 0.3282 0.8989 Th
0.3297 0.3297 0.4245 Th
0.6703 0.6703 0.5755 Th
0.6718 0.6718 0.1011 Th
0.9937 0.9937 0.7358 Th
0.1679 0.1679 0.3355 Si
0.8321 0.8321 0.6645 Si
0.5000 0.5000 0.0000 Sn
0.1622 0.1622 0.8340 Se
0.5000 0.5000 0.5000 Se
0.8378 0.8378 0.1660 Se
```

=====

[2]
Structure and computed powder diffractogram of Tb2CeZn (the PBE geometry in Alexandria; Cu Kα (λ = 1.5418 Å)).

Most intense lines, 2θ = 10–90°, most intense first:
Position (°2θ)	I/Imax
32.8	100
37.7	34
64.9	28
55.2	23
38.8	16
66.5	13
54.3	12
68.8	12
89.6	6
80.5	4

```
Tb2CeZn
1.0
4.7746 0.0000 0.0000
0.0000 4.7746 0.0000
0.0000 0.0000 4.6418
Tb Ce Zn
2 1 1
Direct
0.0000 0.5000 0.0000 Tb
0.5000 0.0000 0.0000 Tb
0.0000 0.0000 0.5000 Ce
0.5000 0.5000 0.5000 Zn
```